No. 1
Structure and calculated powder X-ray diffraction pattern of Pm6Y2ErTh (a DFT-relaxed cell (GGA-PBE, Alexandria); Cu Ka).
No peak broadening, texture or thermal motion is included.

Largest 10 diffraction maxima, by angle, 10 to 80 degrees two-theta:
Position (°2θ)	d (Å)	Rel. int.	hkl
28.01	3.186	26	2 2 -2
28.22	3.163	55	1 3 2
29.59	3.019	69	3 1 -1
30.38	2.942	90	2 2 2
30.78	2.905	66	0 2 3
31.24	2.863	100	2 4 -1
32.37	2.766	36	1 5 -1
34.18	2.623	27	1 3 -3
34.79	2.579	27	2 2 -3
59.63	1.550	20	2 4 5

Atomic structure:
Cell: 9.511 15.044 9.492 Å, 90.00 95.45 90.00°
Space group C2/c (No. 15)
Symmetry-distinct sites (fractional):
Pm  0.061  0.173  0.438 [8 per cell]
Pm  0.092  0.385  0.614 [8 per cell]
Pm  0.211  0.217  0.809 [8 per cell]
Y  0.249  0.454  0.945 [8 per cell]
Er  0.000  0.411  0.250 [4 per cell]
Th  0.000  0.035  0.750 [4 per cell]

No. 2
Structure and calculated powder X-ray diffraction pattern of Pm2Y6Er2Th (a DFT-relaxed cell (GGA-PBE, Alexandria); Cu Ka).
No peak broadening, texture or thermal motion is included.

Largest 10 diffraction maxima, by angle, 10 to 80 degrees two-theta:
Position (°2θ)	d (Å)	Rel. int.	hkl
19.15	4.635	12	1 1 1
30.51	2.930	25	1 1 3
30.96	2.888	19	0 4 1
31.43	2.846	35	2 0 0
32.06	2.791	100	1 3 2
33.51	2.674	21	0 0 4
44.70	2.027	14	2 4 1
46.60	1.949	17	2 0 4
56.36	1.633	20	3 3 2
62.27	1.491	12	1 7 3

Atomic structure:
Cell: 5.692 11.999 10.697 Å, 90.00 90.00 90.00°
Space group Cmmm (No. 65)
Symmetry-distinct sites (fractional):
Pm  0.000  0.137  0.000 [4 per cell]
Y  0.000  0.000  0.290 [4 per cell]
Y  0.000  0.347  0.215 [8 per cell]
Er  0.000  0.200  0.500 [4 per cell]
Th  0.000  0.500  0.500 [2 per cell]

No. 3
Structure and calculated powder X-ray diffraction pattern of Pm6ErTl2 (a DFT-relaxed cell (GGA-PBE, Alexandria); Cu Ka).
No peak broadening, texture or thermal motion is included.

Largest 10 diffraction maxima, by angle, 10 to 80 degrees two-theta:
Position (°2θ)	d (Å)	Rel. int.	hkl
30.42	2.939	53	0 4 0
30.82	2.901	100	1 1 -2
32.82	2.729	90	4 2 1
37.82	2.379	56	1 3 -2
49.29	1.849	24	1 5 -2
52.44	1.745	10	9 1 0
52.61	1.740	12	3 1 3
55.59	1.653	17	4 6 1
55.92	1.644	15	6 2 -3
68.80	1.365	10	8 4 2

Atomic structure:
Cell: 16.074 11.754 5.982 Å, 90.00 98.93 90.00°
Space group C2/c (No. 15)
Symmetry-distinct sites (fractional):
Pm  0.058  0.113  0.033 [8 per cell]
Pm  0.114  0.388  0.301 [8 per cell]
Pm  0.237  0.376  0.833 [8 per cell]
Er  0.000  0.357  0.750 [4 per cell]
Tl  0.156  0.137  0.598 [8 per cell]